(1)
This entry pairs a crystal structure of BiPb3Au2 with its computed powder diffractogram. Radiation: Cu Kα (λ = 1.5418 Å). Structure: DFT lattice parameters and positions (GGA-PBE).

Main lines, most intense first (15 to 90 degrees two-theta):
2θ/deg  I_rel
33.81  100
21.76  52
36.31  48
66.72  31
38.16  27
35.91  26
25.73  25
35.50  24
63.74  19
47.15  19

Structure:
```
BiPb3Au2
1.0
-3.462 7.075 3.617
3.462 -7.075 3.617
3.462 7.075 -3.617
Bi Pb Au
2 6 4
Direct
0.000 0.000 0.000
0.500 0.500 0.000
0.035 0.250 0.785
0.250 0.750 0.500
0.465 0.250 0.215
0.535 0.750 0.785
0.750 0.250 0.500
0.965 0.750 0.215
0.142 0.676 0.818
0.358 0.176 0.534
0.642 0.824 0.466
0.858 0.324 0.182
```

=====

(2)
This entry pairs a crystal structure of Bi2Pb12Au7 with its computed powder diffractogram. Radiation: Cu Kα (λ = 1.5418 Å). Structure: DFT lattice parameters and positions (GGA-PBE).

Main lines, most intense first (15 to 90 degrees two-theta):
2θ/deg  I_rel
31.26  100
32.41  88
40.37  73
31.59  50
39.37  50
27.60  46
36.19  42
31.39  32
35.15  27
37.60  26

Structure:
```
Bi2Pb12Au7
1.0
11.100 0.000 0.000
0.000 4.468 0.000
-3.472 0.000 11.940
Bi Pb Au
2 12 7
Direct
0.000 0.000 0.000
0.210 0.500 0.603
0.004 0.000 0.432
0.138 0.500 0.301
0.262 0.000 0.881
0.301 0.000 0.193
0.471 0.500 0.427
0.478 0.000 0.683
0.485 0.500 0.091
0.700 0.500 0.898
0.750 0.000 0.140
0.762 0.000 0.563
0.764 0.500 0.351
0.959 0.500 0.782
0.053 0.000 0.672
0.195 0.500 0.015
0.289 0.000 0.453
0.537 0.000 0.934
0.575 0.000 0.301
0.651 0.500 0.655
0.909 0.500 0.117
```

=====

(3)
This entry pairs a crystal structure of BiPb8Au4 with its computed powder diffractogram. Radiation: Cu Kα (λ = 1.5418 Å). Structure: DFT lattice parameters and positions (GGA-PBE).

Main lines, most intense first (15 to 90 degrees two-theta):
2θ/deg  I_rel
34.92  100
35.33  65
35.12  33
62.89  24
62.57  12
50.02  12
50.39  12
21.29  12
50.99  11
73.81  8

Structure:
```
BiPb8Au4
1.0
7.165 0.000 0.000
0.048 7.243 0.000
0.071 0.015 7.294
Bi Pb Au
1 8 4
Direct
0.000 0.000 0.000
0.258 0.258 0.260
0.258 0.258 0.739
0.259 0.740 0.259
0.261 0.740 0.742
0.739 0.260 0.258
0.741 0.260 0.741
0.742 0.742 0.261
0.742 0.742 0.740
0.000 0.000 0.500
0.000 0.500 0.000
0.500 0.000 0.000
0.500 0.500 0.500
```

=====

(4)
This entry pairs a crystal structure of Bi3PbAu2 with its computed powder diffractogram. Radiation: Cu Kα (λ = 1.5418 Å). Structure: DFT lattice parameters and positions (GGA-PBE).

Main lines, most intense first (15 to 90 degrees two-theta):
2θ/deg  I_rel
35.92  100
64.57  38
21.77  24
51.71  18
87.18  18
25.19  15
42.40  13
76.16  12
58.36  6
56.75  6

Structure:
```
Bi3PbAu2
1.0
4.998 2.886 4.086
-4.998 2.886 4.086
0.000 -5.771 4.086
Bi Pb Au
6 2 4
Direct
0.250 0.250 0.750
0.250 0.750 0.250
0.250 0.750 0.750
0.750 0.250 0.250
0.750 0.250 0.750
0.750 0.750 0.250
0.250 0.250 0.250
0.750 0.750 0.750
0.000 0.000 0.000
0.000 0.500 0.500
0.500 0.000 0.500
0.500 0.500 0.000
```

=====

(5)
This entry pairs a crystal structure of BiPb2Au4 with its computed powder diffractogram. Radiation: Cu Kα (λ = 1.5418 Å). Structure: DFT lattice parameters and positions (GGA-PBE).

Main lines, most intense first (15 to 90 degrees two-theta):
2θ/deg  I_rel
32.41  100
37.18  59
39.63  35
32.94  35
41.49  31
63.18  26
52.46  19
49.12  19
64.88  17
36.05  15

Structure:
```
BiPb2Au4
1.0
3.709 0.000 0.000
0.000 4.548 0.000
0.000 0.000 19.990
Bi Pb Au
2 4 8
Direct
0.000 0.000 0.000
0.500 0.500 0.500
0.000 0.500 0.192
0.000 0.500 0.808
0.500 0.000 0.308
0.500 0.000 0.692
0.000 0.000 0.432
0.000 0.000 0.568
0.000 0.500 0.347
0.000 0.500 0.653
0.500 0.000 0.153
0.500 0.000 0.847
0.500 0.500 0.068
0.500 0.500 0.932
```

=====

(6)
This entry pairs a crystal structure of BiPb5Au3 with its computed powder diffractogram. Radiation: Cu Kα (λ = 1.5418 Å). Structure: DFT lattice parameters and positions (GGA-PBE).

Main lines, most intense first (15 to 90 degrees two-theta):
2θ/deg  I_rel
27.75  100
19.07  51
40.58  50
35.91  45
45.56  41
36.95  38
46.42  38
28.09  37
27.20  36
38.70  33

Structure:
```
BiPb5Au3
1.0
6.567 -4.653 0.000
6.567 4.653 0.000
-3.791 0.000 9.531
Bi Pb Au
2 10 6
Direct
0.104 0.104 0.300
0.896 0.896 0.700
0.011 0.607 0.381
0.231 0.231 0.034
0.305 0.695 0.000
0.393 0.989 0.619
0.441 0.441 0.640
0.559 0.559 0.360
0.607 0.011 0.381
0.695 0.305 0.000
0.769 0.769 0.966
0.989 0.393 0.619
0.000 0.000 0.000
0.000 0.000 0.500
0.328 0.328 0.832
0.337 0.337 0.328
0.663 0.663 0.672
0.672 0.672 0.168
```